Entry 1:
K3Mg2Cl7: simulated powder diffraction line list (Cu Ka), based on a GGA-PBE-relaxed structure.
Intensities are scaled so that the largest is 100.

Atomic structure:
abc: 13.3870 13.3870 4.9486
angles: 90.00 90.00 158.26
Atoms (fractional coordinates):
1 K 0.0000 0.0000 0.0000
2 K 0.1768 0.8232 0.0000
3 K 0.8232 0.1768 0.0000
4 Mg 0.4019 0.5981 0.5000
5 Mg 0.5981 0.4019 0.5000
6 Cl 0.0935 0.9065 0.5000
7 Cl 0.3087 0.6913 0.5000
8 Cl 0.4061 0.5939 0.0000
9 Cl 0.5000 0.5000 0.5000
10 Cl 0.5939 0.4061 0.0000
11 Cl 0.6913 0.3087 0.5000
12 Cl 0.9065 0.0935 0.5000

Top 10 peaks for 15 to 90 degrees two-theta, low angle first:
2θ (°)	I/Imax
27.2	11
30.5	100
34.1	22
35.6	35
36.3	31
50.1	13
50.7	12
51.7	21
60.7	10
63.4	13

Entry 2:
SmNpB2O8: simulated powder diffraction line list (Cu Ka), based on a GGA-PBE-relaxed structure.
Intensities are scaled so that the largest is 100.

Atomic structure:
abc: 5.0295 5.0295 6.8155
angles: 90.00 90.00 120.00
Atoms (fractional coordinates):
1 Sm 0.0000 0.0000 0.0000
2 Np 0.0000 0.0000 0.5000
3 B 0.3333 0.6667 0.2178
4 B 0.6667 0.3333 0.7822
5 O 0.1742 0.3484 0.2990
6 O 0.1742 0.8258 0.2990
7 O 0.3333 0.6667 0.0117
8 O 0.3484 0.1742 0.7010
9 O 0.6516 0.8258 0.2990
10 O 0.6667 0.3333 0.9883
11 O 0.8258 0.1742 0.7010
12 O 0.8258 0.6516 0.7010

Top 10 peaks for 15 to 90 degrees two-theta, low angle first:
2θ (°)	I/Imax
20.4	100
24.3	13
26.1	13
33.4	58
35.7	29
44.8	35
49.7	25
55.8	15
58.1	13
62.7	19

Entry 3:
Os4Ru: simulated powder diffraction line list (Cu Ka), based on a GGA-PBE-relaxed structure.
Intensities are scaled so that the largest is 100.

Atomic structure:
abc: 6.0900 6.0900 3.8450
angles: 90.00 90.00 90.00
Atoms (fractional coordinates):
1 Os 0.0977 0.6992 0.0000
2 Os 0.1992 0.4023 0.5000
3 Os 0.3008 0.0977 0.0000
4 Os 0.4023 0.8008 0.5000
5 Os 0.5977 0.1992 0.5000
6 Os 0.6992 0.9023 0.0000
7 Os 0.8008 0.5977 0.5000
8 Os 0.9023 0.3008 0.0000
9 Ru 0.0000 0.0000 0.5000
10 Ru 0.5000 0.5000 0.0000

Top 10 peaks for 15 to 90 degrees two-theta, low angle first:
2θ (°)	I/Imax
20.6	3
27.4	3
29.3	1
40.6	100
47.2	49
50.9	1
69.0	32
83.2	26
83.3	13
87.9	12

Entry 4:
Ti2Cr2Ge2C: simulated powder diffraction line list (Cu Ka), based on a GGA-PBE-relaxed structure.
Intensities are scaled so that the largest is 100.

Atomic structure:
abc: 3.8206 3.8206 13.1565
angles: 90.00 90.00 90.00
Atoms (fractional coordinates):
1 Ti 0.0000 0.0000 0.1643
2 Ti 0.0000 0.0000 0.8357
3 Ti 0.5000 0.5000 0.3357
4 Ti 0.5000 0.5000 0.6643
5 Cr 0.0000 0.5000 0.0000
6 Cr 0.0000 0.5000 0.5000
7 Cr 0.5000 0.0000 0.0000
8 Cr 0.5000 0.0000 0.5000
9 Ge 0.0000 0.0000 0.3639
10 Ge 0.0000 0.0000 0.6361
11 Ge 0.5000 0.5000 0.1361
12 Ge 0.5000 0.5000 0.8639
13 C 0.0000 0.0000 0.0000
14 C 0.5000 0.5000 0.5000

Top 10 peaks for 15 to 90 degrees two-theta, low angle first:
2θ (°)	I/Imax
33.2	27
35.9	53
41.2	25
41.7	17
43.3	100
47.6	56
64.7	23
69.6	17
84.2	10
85.7	25

> Which formula does entry 3 have?

Os4Ru

> What is the formula in the second record?

SmNpB2O8